Record 1
The following is a theoretical powder diffraction line list of Li2MnCSO7. It was derived from a DFT-relaxed cell (GGA+U, the Materials Project), using Cu Kα.
Kinematic intensities with the Lorentz-polarization factor, no thermal factor.

Most intense lines, 2θ from 10° to 90°, low angle first:
2θ 16.63, 5.329 Å, rel. 34
2θ 19.24, 4.612 Å, rel. 43
2θ 21.64, 4.106 Å, rel. 57
2θ 24.47, 3.637 Å, rel. 69
2θ 27.42, 3.253 Å, rel. 100
2θ 28.25, 3.159 Å, rel. 32
2θ 33.66, 2.663 Å, rel. 22
2θ 36.61, 2.455 Å, rel. 22
2θ 39.04, 2.307 Å, rel. 25
2θ 41.55, 2.173 Å, rel. 18

a = 4.953 Å, b = 9.387 Å, c = 13.010 Å
α = 89.97°, β = 89.97°, γ = 81.94°
Atoms (fractional coordinates):
Li1 0.209 0.164 0.257
Li2 0.209 0.164 0.492
Li3 0.209 0.164 0.757
Li4 0.209 0.165 0.992
Li5 0.791 0.835 0.008
Li6 0.791 0.836 0.243
Li7 0.791 0.836 0.508
Li8 0.791 0.836 0.743
Mn1 0.251 0.638 0.125
Mn2 0.252 0.638 0.625
Mn3 0.748 0.362 0.375
Mn4 0.749 0.362 0.875
C1 0.276 0.923 0.125
C2 0.276 0.923 0.625
C3 0.724 0.077 0.375
C4 0.724 0.077 0.875
S1 0.226 0.599 0.375
S2 0.227 0.599 0.875
S3 0.773 0.401 0.125
S4 0.774 0.401 0.625
O1 0.035 0.881 0.125
O2 0.035 0.882 0.625
O3 0.125 0.685 0.283
O4 0.125 0.685 0.467
O5 0.125 0.685 0.967
O6 0.126 0.685 0.783
O7 0.134 0.456 0.375
O8 0.135 0.456 0.875
O9 0.307 0.056 0.125
O10 0.307 0.057 0.625
O11 0.468 0.423 0.125
O12 0.468 0.423 0.625
O13 0.488 0.821 0.125
O14 0.488 0.821 0.625
O15 0.512 0.179 0.375
O16 0.512 0.179 0.875
O17 0.532 0.577 0.375
O18 0.532 0.577 0.875
O19 0.693 0.943 0.375
O20 0.693 0.944 0.875
O21 0.865 0.544 0.125
O22 0.866 0.544 0.625
O23 0.874 0.315 0.217
O24 0.875 0.315 0.033
O25 0.875 0.315 0.533
O26 0.875 0.315 0.717
O27 0.965 0.118 0.375
O28 0.965 0.119 0.875

Record 2
The following is a theoretical powder diffraction line list of LiMnCSO7. It was derived from a DFT-relaxed cell (GGA+U, the Materials Project), using Cu Kα.
Kinematic intensities with the Lorentz-polarization factor, no thermal factor.

Most intense lines, 2θ from 10° to 90°, low angle first:
2θ 10.19, 8.678 Å, rel. 100
2θ 16.56, 5.355 Å, rel. 39
2θ 19.53, 4.545 Å, rel. 33
2θ 21.01, 4.229 Å, rel. 44
2θ 21.86, 4.067 Å, rel. 12
2θ 24.79, 3.592 Å, rel. 16
2θ 25.90, 3.440 Å, rel. 34
2θ 26.19, 3.402 Å, rel. 70
2θ 28.16, 3.169 Å, rel. 23
2θ 39.41, 2.287 Å, rel. 13

a = 5.089 Å, b = 6.805 Å, c = 8.707 Å
α = 90.00°, β = 94.74°, γ = 90.00°
Atoms (fractional coordinates):
Li1 0.211 0.000 0.316
Li2 0.789 0.500 0.684
Mn1 0.227 0.276 0.846
Mn2 0.773 0.776 0.154
C1 0.281 0.272 0.573
C2 0.719 0.772 0.427
S1 0.252 0.780 0.917
S2 0.748 0.280 0.083
O1 0.050 0.282 0.633
O2 0.128 0.791 0.067
O3 0.159 0.605 0.828
O4 0.201 0.957 0.825
O5 0.309 0.232 0.437
O6 0.455 0.259 0.041
O7 0.476 0.301 0.681
O8 0.524 0.801 0.319
O9 0.545 0.759 0.959
O10 0.691 0.732 0.563
O11 0.799 0.457 0.175
O12 0.841 0.105 0.172
O13 0.872 0.291 0.933
O14 0.950 0.782 0.367

Record 3
The following is a theoretical powder diffraction line list of Li2MnCSO7. It was derived from a DFT-relaxed cell (GGA+U, the Materials Project), using Cu Kα.
Kinematic intensities with the Lorentz-polarization factor, no thermal factor.

Most intense lines, 2θ from 10° to 90°, low angle first:
2θ 16.65, 5.325 Å, rel. 34
2θ 19.39, 4.577 Å, rel. 44
2θ 21.55, 4.123 Å, rel. 50
2θ 24.82, 3.588 Å, rel. 65
2θ 27.31, 3.266 Å, rel. 100
2θ 28.19, 3.165 Å, rel. 31
2θ 33.69, 2.660 Å, rel. 29
2θ 36.64, 2.453 Å, rel. 26
2θ 39.19, 2.299 Å, rel. 29
2θ 56.36, 1.633 Å, rel. 24

a = 4.950 Å, b = 6.532 Å, c = 9.269 Å
α = 90.00°, β = 97.18°, γ = 90.00°
Atoms (fractional coordinates):
Li1 0.212 0.015 0.330
Li2 0.212 0.485 0.330
Li3 0.788 0.515 0.670
Li4 0.788 0.985 0.670
Mn1 0.247 0.750 0.863
Mn2 0.753 0.250 0.137
C1 0.269 0.750 0.575
C2 0.731 0.250 0.425
S1 0.238 0.250 0.903
S2 0.762 0.750 0.097
O1 0.030 0.750 0.621
O2 0.132 0.067 0.819
O3 0.132 0.433 0.819
O4 0.153 0.250 0.051
O5 0.297 0.750 0.439
O6 0.457 0.750 0.080
O7 0.483 0.750 0.676
O8 0.517 0.250 0.324
O9 0.543 0.250 0.920
O10 0.703 0.250 0.561
O11 0.847 0.750 0.949
O12 0.868 0.567 0.181
O13 0.868 0.933 0.181
O14 0.970 0.250 0.379

Record 4
The following is a theoretical powder diffraction line list of Na5LiNi2P2C2O14. It was derived from a DFT-relaxed cell (GGA+U, the Materials Project), using Cu Kα.
Kinematic intensities with the Lorentz-polarization factor, no thermal factor.

Most intense lines, 2θ from 10° to 90°, low angle first:
2θ 10.04, 8.813 Å, rel. 86
2θ 19.69, 4.508 Å, rel. 31
2θ 20.14, 4.409 Å, rel. 36
2θ 26.24, 3.396 Å, rel. 25
2θ 26.93, 3.311 Å, rel. 100
2θ 33.58, 2.669 Å, rel. 36
2θ 33.77, 2.654 Å, rel. 33
2θ 33.95, 2.640 Å, rel. 32
2θ 34.72, 2.584 Å, rel. 77
2θ 55.50, 1.656 Å, rel. 36

a = 5.170 Å, b = 6.622 Å, c = 8.816 Å
α = 90.37°, β = 91.45°, γ = 90.08°
Atoms (fractional coordinates):
Na1 0.000 0.000 0.000
Na2 0.001 0.515 0.002
Na3 0.492 0.017 0.538
Na4 0.523 0.755 0.187
Na5 0.979 0.269 0.351
Li1 0.517 0.493 0.557
Ni1 0.527 0.261 0.919
Ni2 0.962 0.753 0.615
P1 0.029 0.262 0.683
P2 0.454 0.754 0.848
C1 0.036 0.756 0.333
C2 0.468 0.267 0.210
O1 0.065 0.760 0.188
O2 0.155 0.752 0.820
O3 0.234 0.743 0.427
O4 0.264 0.261 0.121
O5 0.330 0.285 0.709
O6 0.451 0.280 0.356
O7 0.530 0.947 0.941
O8 0.534 0.573 0.952
O9 0.587 0.744 0.693
O10 0.693 0.260 0.146
O11 0.806 0.764 0.391
O12 0.899 0.256 0.838
O13 0.923 0.440 0.585
O14 0.972 0.068 0.587

Record 5
The following is a theoretical powder diffraction line list of Na5LiNi2P2C2O14. It was derived from a DFT-relaxed cell (GGA+U, the Materials Project), using Cu Kα.
Kinematic intensities with the Lorentz-polarization factor, no thermal factor.

Most intense lines, 2θ from 10° to 90°, low angle first:
2θ 10.09, 8.765 Å, rel. 100
2θ 16.64, 5.328 Å, rel. 30
2θ 20.31, 4.371 Å, rel. 34
2θ 26.06, 3.419 Å, rel. 23
2θ 26.57, 3.355 Å, rel. 69
2θ 33.20, 2.699 Å, rel. 38
2θ 33.66, 2.662 Å, rel. 77
2θ 34.70, 2.585 Å, rel. 44
2θ 38.47, 2.340 Å, rel. 33
2θ 54.72, 1.677 Å, rel. 27

a = 5.175 Å, b = 6.710 Å, c = 8.773 Å
α = 90.00°, β = 92.55°, γ = 90.00°
Atoms (fractional coordinates):
Na1 0.000 0.000 0.000
Na2 0.489 0.242 0.813
Na3 0.489 0.758 0.813
Na4 0.970 0.259 0.351
Na5 0.970 0.741 0.351
Li1 0.454 0.500 0.189
Ni1 0.012 0.500 0.735
Ni2 0.450 0.000 0.428
P1 0.509 0.500 0.496
P2 0.953 0.000 0.667
C1 0.512 0.000 0.145
C2 0.931 0.500 0.031
O1 0.028 0.186 0.766
O2 0.028 0.814 0.766
O3 0.091 0.000 0.514
O4 0.178 0.500 0.007
O5 0.285 0.000 0.203
O6 0.368 0.500 0.647
O7 0.435 0.317 0.393
O8 0.435 0.683 0.393
O9 0.538 0.000 0.999
O10 0.654 0.000 0.632
O11 0.713 0.000 0.240
O12 0.767 0.500 0.912
O13 0.807 0.500 0.532
O14 0.843 0.500 0.166

Q: Which formula does entry 1 have?
A: Li2MnCSO7